1.
For LiMn2Fe2P4O16, a DFT-relaxed cell (PBE+U, the Materials Project) gives the computed PXRD pattern in this record (λ = 1.5418 Å (Cu Kα)).
No peak broadening, texture or thermal motion is included.

```
data_LiMn2Fe2P4O16
_space_group_name_H-M_alt 'P 1 m 1'
_space_group_IT_number 6
_cell_length_a 4.9798
_cell_length_b 5.9895
_cell_length_c 9.9342
_cell_angle_alpha 90.00
_cell_angle_beta 90.47
_cell_angle_gamma 90.00
loop_
_space_group_symop_operation_xyz
'x,y,z'
'x,-y,z'
loop_
_atom_site_label
_atom_site_type_symbol
_atom_site_fract_x
_atom_site_fract_y
_atom_site_fract_z
Li1 Li 0.0000 0.0000 0.0000
Mn1 Mn 0.4925 0.5000 0.7242
Mn2 Mn 0.9853 0.0000 0.6531
Fe1 Fe 0.1194 0.5000 0.2192
Fe2 Fe 0.5842 0.0000 0.1796
P1 P 0.1372 0.0000 0.3495
P2 P 0.4723 0.0000 0.8413
P3 P 0.6844 0.5000 0.0363
P4 P 0.9725 0.5000 0.5400
O1 O 0.2137 0.0000 0.5016
O2 O 0.2784 0.2027 0.2778
O3 O 0.2796 0.5000 0.5639
O4 O 0.3342 0.2015 0.7692
O5 O 0.3882 0.5000 0.0746
O6 O 0.4003 0.0000 0.9913
O7 O 0.7178 0.5000 0.8818
O8 O 0.7831 0.0000 0.8254
O9 O 0.8307 0.2994 0.6122
O10 O 0.8351 0.0000 0.3336
O11 O 0.8419 0.2959 0.0988
O12 O 0.9168 0.5000 0.3886
```

Principal peaks in the range 10 to 90 degrees two-theta, by intensity:
2θ/deg	I_rel
29.8	100
17.9	78
20.0	64
35.7	62
24.9	58
19.9	53
36.0	52
25.0	40

2.
For Al2FeO4, a DFT-relaxed cell (PBE+U, the Materials Project) gives the computed PXRD pattern in this record (λ = 1.5418 Å (Cu Kα)).
No peak broadening, texture or thermal motion is included.

```
data_Al2FeO4
_space_group_name_H-M_alt 'P 1'
_space_group_IT_number 1
_cell_length_a 5.8168
_cell_length_b 5.8215
_cell_length_c 14.3159
_cell_angle_alpha 89.83
_cell_angle_beta 89.86
_cell_angle_gamma 60.13
loop_
_space_group_symop_operation_xyz
'x,y,z'
loop_
_atom_site_label
_atom_site_type_symbol
_atom_site_fract_x
_atom_site_fract_y
_atom_site_fract_z
Al1 Al 0.0000 0.0000 0.0000
Al2 Al 0.0003 0.5005 0.9997
Al3 Al 0.1692 0.1653 0.1652
Al4 Al 0.1757 0.6643 0.6701
Al5 Al 0.3354 0.3292 0.3326
Al6 Al 0.3362 0.8359 0.3321
Al7 Al 0.5012 0.0000 0.9991
Al8 Al 0.6692 0.1708 0.6697
Al9 Al 0.6687 0.6639 0.6685
Al10 Al 0.8356 0.8319 0.8341
Al11 Al 0.8370 0.8320 0.4560
Al12 Al 0.8419 0.3300 0.3323
Fe1 Fe 0.1699 0.1660 0.7881
Fe2 Fe 0.1738 0.1693 0.5433
Fe3 Fe 0.5008 0.4982 0.1271
Fe4 Fe 0.5013 0.4999 0.8779
Fe5 Fe 0.5039 0.4991 0.5032
Fe6 Fe 0.8374 0.8318 0.2079
O1 O 0.0261 0.0198 0.2542
O2 O 0.0275 0.4547 0.2538
O3 O 0.1257 0.6885 0.9235
O4 O 0.1670 0.1662 0.9319
O5 O 0.1708 0.1636 0.4016
O6 O 0.1724 0.6651 0.4068
O7 O 0.3137 0.8731 0.0787
O8 O 0.3156 0.3138 0.0773
O9 O 0.3484 0.3449 0.6025
O10 O 0.3489 0.8060 0.5989
O11 O 0.4594 0.0221 0.2530
O12 O 0.5050 0.4987 0.2707
O13 O 0.5054 0.4992 0.7392
O14 O 0.5512 0.9756 0.7450
O15 O 0.6691 0.1687 0.4075
O16 O 0.6703 0.6661 0.4056
O17 O 0.6887 0.6880 0.9234
O18 O 0.6900 0.1232 0.9222
O19 O 0.8123 0.3442 0.5997
O20 O 0.8319 0.8343 0.0684
O21 O 0.8362 0.8324 0.5846
O22 O 0.8745 0.3120 0.0792
O23 O 0.9799 0.5474 0.7454
O24 O 0.9804 0.9756 0.7458
```

Principal peaks in the range 10 to 90 degrees two-theta, by intensity:
2θ/deg	I_rel
36.1	100
30.6	58
36.2	56
63.8	42
30.7	38
58.1	24
58.0	21
58.2	19

3.
For Li4Ti3Nb2Co3O16, a DFT-relaxed cell (PBE+U, the Materials Project) gives the computed PXRD pattern in this record (λ = 1.5418 Å (Cu Kα)).
No peak broadening, texture or thermal motion is included.

```
data_Li4Ti3Nb2Co3O16
_space_group_name_H-M_alt 'P 1'
_space_group_IT_number 1
_cell_length_a 5.9706
_cell_length_b 6.0130
_cell_length_c 9.8482
_cell_angle_alpha 89.67
_cell_angle_beta 89.99
_cell_angle_gamma 60.25
loop_
_space_group_symop_operation_xyz
'x,y,z'
loop_
_atom_site_label
_atom_site_type_symbol
_atom_site_fract_x
_atom_site_fract_y
_atom_site_fract_z
Li1 Li 0.0000 0.0000 0.0000
Li2 Li 0.0013 0.9944 0.5093
Li3 Li 0.3355 0.3262 0.5914
Li4 Li 0.6681 0.6624 0.0878
Ti1 Ti 0.1575 0.1858 0.2752
Ti2 Ti 0.6554 0.1852 0.2745
Ti3 Ti 0.8234 0.3518 0.7613
Nb1 Nb 0.3344 0.3304 0.9954
Nb2 Nb 0.6498 0.6982 0.5071
Co1 Co 0.1708 0.6568 0.2861
Co2 Co 0.3430 0.8237 0.7861
Co3 Co 0.8328 0.8235 0.7862
O1 O 0.0377 0.4636 0.1575
O2 O 0.1661 0.1732 0.9062
O3 O 0.1692 0.6614 0.9151
O4 O 0.3345 0.8317 0.4016
O5 O 0.3489 0.3011 0.3883
O6 O 0.4829 0.0342 0.1621
O7 O 0.4980 0.4639 0.1575
O8 O 0.5204 0.9576 0.6420
O9 O 0.5348 0.4936 0.6449
O10 O 0.6602 0.1723 0.9064
O11 O 0.6812 0.6353 0.8865
O12 O 0.8325 0.8311 0.4018
O13 O 0.8380 0.3232 0.3920
O14 O 0.9697 0.4959 0.6457
O15 O 0.9956 0.0081 0.1899
O16 O 0.9957 0.0086 0.6972
```

Principal peaks in the range 10 to 90 degrees two-theta, by intensity:
2θ/deg	I_rel
19.3	100
24.9	33
32.3	31
35.8	30
61.7	22
44.5	21
19.2	21
59.0	21